# NaPrDyFeO6
Computed XRD peak list, Cu Kα. Input: a crystal structure in Alexandria, relaxed with GGA+U.
Lines closer than 0.1° are merged.

Cell and atoms:
Lattice parameters (Å, degrees): 5.6828 5.6828 5.6828 60.00 60.00 60.00
Fractional positions:
1 Na 0.0000 0.0000 0.0000
2 Pr 0.5000 0.5000 0.5000
3 Dy 0.2500 0.2500 0.2500
4 Fe 0.7500 0.7500 0.7500
5 O 0.5189 0.5189 0.9811
6 O 0.5189 0.9811 0.5189
7 O 0.5189 0.9811 0.9811
8 O 0.9811 0.5189 0.5189
9 O 0.9811 0.5189 0.9811
10 O 0.9811 0.9811 0.5189

Top 8 peaks for 10° ≤ 2θ ≤ 90°, in order of rising 2θ:
| Position (°2θ) | I (rel.) |
| --- | --- |
| 19.13 | 38 |
| 31.49 | 100 |
| 37.10 | 25 |
| 45.13 | 33 |
| 49.43 | 13 |
| 56.06 | 39 |
| 65.73 | 19 |
| 74.70 | 17 |